Record 1
CaNiH3: computed XRD peak list (CuKα), based on a DFT-relaxed cell (GGA-PBE, the Materials Project).
Lines closer than 0.1° are merged.

Crystal structure
Cell lengths 3.5377, 3.5377, 3.5377 Å; angles 90.00, 90.00, 90.00 degrees
Fractional positions:
Ca1 0.0000 0.0000 0.0000
Ni1 0.5000 0.5000 0.5000
H1 0.0000 0.5000 0.5000
H2 0.5000 0.0000 0.5000
H3 0.5000 0.5000 0.0000

Main lines, low angle first (5° ≤ 2θ ≤ 70°):
| 2theta | I_rel |
| --- | --- |
| 25.2 | 7 |
| 35.9 | 100 |
| 44.4 | 1 |
| 51.7 | 18 |
| 58.3 | 3 |
| 64.5 | 32 |

Record 2
CaNi5H: computed XRD peak list (CuKα), based on a DFT-relaxed cell (GGA-PBE, the Materials Project).
Lines closer than 0.1° are merged.

Crystal structure
Cell lengths 4.9720, 4.9720, 3.9747 Å; angles 90.93, 90.93, 60.92 degrees
Fractional positions:
Ca1 0.0000 0.0000 0.0000
Ni1 0.3441 0.3441 0.9683
Ni2 0.5042 0.5042 0.4673
Ni3 0.5150 0.9958 0.4626
Ni4 0.6659 0.6659 0.9700
Ni5 0.9958 0.5150 0.4626
H1 0.2068 0.2068 0.6740

Main lines, low angle first (5° ≤ 2θ ≤ 70°):
| 2theta | I_rel |
| --- | --- |
| 20.4 | 100 |
| 20.7 | 38 |
| 36.1 | 31 |
| 41.6 | 59 |
| 42.2 | 22 |
| 42.5 | 96 |
| 42.6 | 96 |
| 43.2 | 91 |
| 45.7 | 92 |
| 47.5 | 55 |
| 47.9 | 87 |
| 48.7 | 32 |